# BaYCrCuO5
Calculated powder diffractogram, CuKα. Input: a cell relaxed with GGA+U.
Kinematic intensities with the Lorentz-polarization factor, no thermal factor.

Atomic structure:
Cell lengths 3.9128, 3.9128, 7.7712 Å; angles 90.00, 90.00, 90.00 degrees
Space group P4mm (No. 99)
Symmetry-distinct sites (fractional):
Ba (0.0000, 0.0000, 0.0000) (multiplicity 1)
Y (0.0000, 0.0000, 0.4772) (multiplicity 1)
Cr (0.5000, 0.5000, 0.7142) (multiplicity 1)
Cu (0.5000, 0.5000, 0.2633) (multiplicity 1)
O (0.0000, 0.5000, 0.2935) (multiplicity 2)
O (0.0000, 0.5000, 0.6600) (multiplicity 2)
O (0.5000, 0.5000, 0.9588) (multiplicity 1)

Peak list (6 most intense, 2θ from 10° to 80°, by intensity)
| two_theta | d/Å | I_rel | hkl |
| --- | --- | --- | --- |
| 32.47 | 2.757 | 100 | 1 0 2 |
| 32.36 | 2.767 | 42 | 1 1 0 |
| 57.79 | 1.596 | 37 | 2 1 2 |
| 46.41 | 1.956 | 31 | 2 0 0 |
| 58.01 | 1.590 | 19 | 1 1 4 |
| 77.11 | 1.237 | 15 | 3 0 2 |